The following is a computed powder X-ray diffraction pattern of Sr2Ac4Sb3N2. It was derived from a cell relaxed with PBE, using copper Kα.
Intensities are scaled so that the largest is 100.

Most intense lines, 5° ≤ 2θ ≤ 70°, by angle:
d/Å, 2θ (°), intensity
13.463, 6.57, 32
6.731, 13.15, 22
3.527, 25.25, 35
3.212, 27.78, 27
2.834, 31.57, 100
2.693, 33.27, 11
2.584, 34.71, 51
2.242, 40.23, 16
1.864, 48.85, 15
1.827, 49.91, 19
1.694, 54.13, 16
1.536, 60.27, 33

Structure:
Unit cell a=13.9501 b=13.9501 c=13.9501 alpha=158.65 beta=158.65 gamma=30.37
Fractional coordinates of all 11 atoms:
Sr1 0.1972 0.1972 0.0000
Sr2 0.8028 0.8028 0.0000
Ac1 0.0863 0.5863 0.5000
Ac2 0.4137 0.9137 0.5000
Ac3 0.5863 0.0863 0.5000
Ac4 0.9137 0.4137 0.5000
Sb1 0.3239 0.3239 0.0000
Sb2 0.5000 0.5000 0.0000
Sb3 0.6761 0.6761 0.0000
N1 0.1021 0.1021 0.0000
N2 0.8979 0.8979 0.0000